Starting from the GGA-PBE geometry in the Materials Project, the PXRD pattern of Ni3Sn was computed for copper Kα.

Atomic structure:
abc: 5.923 5.923 5.923
angles: 90.00 90.00 90.00
Element x y z (fractional)
Ni (0.000, 0.000, 0.000)
Ni (0.000, 0.500, 0.500)
Ni (0.250, 0.250, 0.250)
Ni (0.250, 0.250, 0.750)
Ni (0.250, 0.750, 0.250)
Ni (0.250, 0.750, 0.750)
Ni (0.500, 0.000, 0.500)
Ni (0.500, 0.500, 0.000)
Ni (0.750, 0.250, 0.250)
Ni (0.750, 0.250, 0.750)
Ni (0.750, 0.750, 0.250)
Ni (0.750, 0.750, 0.750)
Sn (0.000, 0.000, 0.500)
Sn (0.000, 0.500, 0.000)
Sn (0.500, 0.000, 0.000)
Sn (0.500, 0.500, 0.500)

Peak list (7 most intense, 5° ≤ 2θ ≤ 70°, by angle)
two_theta, d_spacing, intensity
26.06, 3.420, 8
30.18, 2.961, 4
43.20, 2.094, 100
51.15, 1.786, 4
53.60, 1.710, 1
62.75, 1.481, 16
69.13, 1.359, 2

Starting from the GGA-PBE geometry in the Materials Project, the PXRD pattern of CeYAl2Pd2 was computed for copper Kα.

Atomic structure:
abc: 7.221 4.141 12.370
angles: 90.00 90.30 90.00
Element x y z (fractional)
Ce (0.000, 0.000, 0.000)
Ce (0.131, 0.000, 0.290)
Ce (0.632, 0.000, 0.788)
Y (0.002, 0.000, 0.580)
Y (0.502, 0.000, 0.081)
Y (0.502, 0.000, 0.497)
Al (0.328, 0.500, 0.669)
Al (0.331, 0.500, 0.907)
Al (0.479, 0.500, 0.290)
Al (0.825, 0.500, 0.173)
Al (0.826, 0.500, 0.409)
Al (0.981, 0.500, 0.787)
Pd (0.205, 0.500, 0.124)
Pd (0.209, 0.500, 0.453)
Pd (0.213, 0.000, 0.790)
Pd (0.708, 0.500, 0.624)
Pd (0.713, 0.000, 0.289)
Pd (0.713, 0.500, 0.953)

Peak list (12 most intense, 5° ≤ 2θ ≤ 70°, by angle)
two_theta, d_spacing, intensity
14.18, 6.244, 20
24.66, 3.611, 29
24.81, 3.589, 22
25.87, 3.444, 25
32.91, 2.722, 41
33.07, 2.708, 100
36.00, 2.495, 66
36.11, 2.487, 71
36.25, 2.478, 76
43.70, 2.072, 68
50.87, 1.795, 23
69.32, 1.356, 24

Starting from the GGA-PBE geometry in the Materials Project, the PXRD pattern of Na2NbInSi2SO12 was computed for copper Kα.

Atomic structure:
abc: 9.032 9.032 9.248
angles: 119.14 119.14 60.37
Element x y z (fractional)
Na (0.053, 0.947, 0.500)
Na (0.323, 0.825, 0.239)
Na (0.825, 0.323, 0.739)
Na (0.947, 0.053, 0.000)
Nb (0.466, 0.963, 0.689)
Nb (0.963, 0.466, 0.189)
In (0.160, 0.674, 0.805)
In (0.674, 0.160, 0.305)
Si (0.069, 0.279, 0.503)
Si (0.279, 0.069, 0.003)
Si (0.776, 0.865, 0.506)
Si (0.865, 0.776, 0.006)
S (0.361, 0.570, 0.502)
S (0.570, 0.361, 0.002)
O (0.038, 0.313, 0.324)
O (0.047, 0.749, 0.991)
O (0.090, 0.251, 0.024)
O (0.111, 0.440, 0.674)
O (0.197, 0.547, 0.345)
O (0.246, 0.900, 0.986)
O (0.251, 0.090, 0.524)
O (0.313, 0.038, 0.824)
O (0.342, 0.598, 0.662)
O (0.369, 0.740, 0.513)
O (0.422, 0.526, 0.980)
O (0.440, 0.111, 0.174)
O (0.526, 0.422, 0.480)
O (0.547, 0.197, 0.845)
O (0.595, 0.881, 0.527)
O (0.598, 0.342, 0.162)
O (0.678, 0.827, 0.837)
O (0.740, 0.369, 0.013)
O (0.749, 0.047, 0.491)
O (0.827, 0.678, 0.337)
O (0.851, 0.950, 0.178)
O (0.881, 0.595, 0.027)
O (0.900, 0.246, 0.486)
O (0.950, 0.851, 0.678)

Peak list (12 most intense, 5° ≤ 2θ ≤ 70°, by angle)
two_theta, d_spacing, intensity
13.69, 6.471, 33
19.19, 4.625, 90
19.55, 4.542, 32
19.66, 4.516, 69
22.82, 3.897, 37
27.54, 3.239, 31
27.65, 3.226, 19
30.63, 2.919, 100
34.26, 2.617, 34
34.46, 2.603, 17
46.73, 1.944, 25
50.31, 1.814, 18

Starting from the GGA-PBE geometry in the Materials Project, the PXRD pattern of GdPbAu was computed for copper Kα.

Atomic structure:
abc: 6.911 6.911 6.911
angles: 90.00 90.00 90.00
Element x y z (fractional)
Gd (0.000, 0.000, 0.000)
Gd (0.000, 0.500, 0.500)
Gd (0.500, 0.000, 0.500)
Gd (0.500, 0.500, 0.000)
Pb (0.000, 0.000, 0.500)
Pb (0.000, 0.500, 0.000)
Pb (0.500, 0.000, 0.000)
Pb (0.500, 0.500, 0.500)
Au (0.250, 0.250, 0.750)
Au (0.250, 0.750, 0.250)
Au (0.750, 0.250, 0.250)
Au (0.750, 0.750, 0.750)

Peak list (9 most intense, 5° ≤ 2θ ≤ 70°, by angle)
two_theta, d_spacing, intensity
22.28, 3.990, 31
25.78, 3.455, 10
36.78, 2.443, 100
43.43, 2.084, 17
45.46, 1.995, 3
53.00, 1.728, 18
58.19, 1.585, 7
59.85, 1.545, 4
66.25, 1.411, 37

Starting from the GGA-PBE geometry in the Materials Project, the PXRD pattern of La2MgS4 was computed for copper Kα.

Atomic structure:
abc: 7.773 9.061 11.978
angles: 101.12 97.02 90.38
Element x y z (fractional)
La (0.133, 0.449, 0.337)
La (0.142, 0.969, 0.343)
La (0.252, 0.134, 0.999)
La (0.366, 0.296, 0.660)
La (0.634, 0.704, 0.340)
La (0.748, 0.866, 0.001)
La (0.858, 0.031, 0.657)
La (0.867, 0.551, 0.663)
Mg (0.253, 0.624, 0.990)
Mg (0.358, 0.794, 0.686)
Mg (0.642, 0.206, 0.314)
Mg (0.747, 0.376, 0.010)
S (0.092, 0.412, 0.105)
S (0.111, 0.900, 0.110)
S (0.201, 0.549, 0.604)
S (0.203, 0.011, 0.618)
S (0.302, 0.721, 0.386)
S (0.353, 0.224, 0.385)
S (0.382, 0.833, 0.892)
S (0.405, 0.361, 0.892)
S (0.595, 0.639, 0.108)
S (0.618, 0.167, 0.108)
S (0.647, 0.776, 0.615)
S (0.698, 0.279, 0.614)
S (0.797, 0.989, 0.382)
S (0.799, 0.451, 0.396)
S (0.889, 0.100, 0.890)
S (0.908, 0.588, 0.895)

Peak list (12 most intense, 5° ≤ 2θ ≤ 70°, by angle)
two_theta, d_spacing, intensity
22.86, 3.890, 100
23.24, 3.827, 28
23.39, 3.803, 56
24.85, 3.583, 62
25.21, 3.532, 35
26.06, 3.419, 29
34.24, 2.619, 26
39.79, 2.265, 36
39.97, 2.255, 36
40.21, 2.242, 34
40.54, 2.225, 22
46.46, 1.955, 23

Starting from the GGA-PBE geometry in the Materials Project, the PXRD pattern of Ba3Y2F12 was computed for copper Kα.

Atomic structure:
abc: 9.832 9.832 5.805
angles: 90.00 90.00 90.00
Element x y z (fractional)
Ba (0.000, 0.000, 0.000)
Ba (0.179, 0.321, 0.500)
Ba (0.321, 0.821, 0.500)
Ba (0.500, 0.500, 0.000)
Ba (0.679, 0.179, 0.500)
Ba (0.821, 0.679, 0.500)
Y (0.133, 0.633, 0.000)
Y (0.367, 0.133, 0.000)
Y (0.633, 0.867, 0.000)
Y (0.867, 0.367, 0.000)
F (0.000, 0.500, 0.233)
F (0.000, 0.500, 0.767)
F (0.055, 0.779, 0.260)
F (0.055, 0.779, 0.740)
F (0.203, 0.297, 0.000)
F (0.221, 0.055, 0.260)
F (0.221, 0.055, 0.740)
F (0.279, 0.555, 0.260)
F (0.279, 0.555, 0.740)
F (0.297, 0.797, 0.000)
F (0.445, 0.279, 0.260)
F (0.445, 0.279, 0.740)
F (0.500, 0.000, 0.233)
F (0.500, 0.000, 0.767)
F (0.555, 0.721, 0.260)
F (0.555, 0.721, 0.740)
F (0.703, 0.203, 0.000)
F (0.721, 0.445, 0.260)
F (0.721, 0.445, 0.740)
F (0.779, 0.945, 0.260)
F (0.779, 0.945, 0.740)
F (0.797, 0.703, 0.000)
F (0.945, 0.221, 0.260)
F (0.945, 0.221, 0.740)

Peak list (12 most intense, 5° ≤ 2θ ≤ 70°, by angle)
two_theta, d_spacing, intensity
23.72, 3.751, 42
25.41, 3.505, 100
28.71, 3.109, 32
30.81, 2.902, 15
37.72, 2.385, 22
40.49, 2.228, 19
40.91, 2.206, 17
42.61, 2.122, 49
45.65, 1.987, 12
49.83, 1.830, 13
51.61, 1.771, 15
52.54, 1.742, 12

Starting from the GGA-PBE geometry in the Materials Project, the PXRD pattern of KSe was computed for copper Kα.

Atomic structure:
abc: 6.745 6.745 6.745
angles: 90.00 90.00 90.00
Element x y z (fractional)
K (0.000, 0.000, 0.000)
K (0.000, 0.500, 0.500)
K (0.500, 0.000, 0.500)
K (0.500, 0.500, 0.000)
Se (0.000, 0.000, 0.500)
Se (0.000, 0.500, 0.000)
Se (0.500, 0.000, 0.000)
Se (0.500, 0.500, 0.500)

Peak list (9 most intense, 5° ≤ 2θ ≤ 70°, by angle)
two_theta, d_spacing, intensity
22.83, 3.894, 19
26.43, 3.373, 100
37.72, 2.385, 75
44.55, 2.034, 11
46.64, 1.947, 26
54.41, 1.686, 12
59.76, 1.548, 5
61.48, 1.508, 33
68.10, 1.377, 24

Starting from the GGA-PBE geometry in the Materials Project, the PXRD pattern of Sr2SmMgTaCu2O8 was computed for copper Kα.

Atomic structure:
abc: 4.045 4.045 13.140
angles: 90.00 90.00 90.00
Element x y z (fractional)
Sr (0.000, 0.000, 0.246)
Sr (0.000, 0.000, 0.754)
Sm (0.000, 0.000, 0.000)
Mg (0.000, 0.000, 0.500)
Ta (0.500, 0.500, 0.500)
Cu (0.500, 0.500, 0.111)
Cu (0.500, 0.500, 0.889)
O (0.000, 0.500, 0.118)
O (0.000, 0.500, 0.500)
O (0.000, 0.500, 0.882)
O (0.500, 0.000, 0.118)
O (0.500, 0.000, 0.500)
O (0.500, 0.000, 0.882)
O (0.500, 0.500, 0.350)
O (0.500, 0.500, 0.650)

Peak list (12 most intense, 5° ≤ 2θ ≤ 70°, by angle)
two_theta, d_spacing, intensity
13.48, 6.570, 55
23.01, 3.866, 58
25.87, 3.444, 33
27.15, 3.285, 22
30.07, 2.971, 65
31.28, 2.860, 100
35.20, 2.550, 44
40.95, 2.204, 55
41.88, 2.157, 41
44.82, 2.022, 64
54.92, 1.672, 25
62.32, 1.490, 31

Starting from the GGA-PBE geometry in the Materials Project, the PXRD pattern of EuBN2 was computed for copper Kα.

Atomic structure:
abc: 7.335 7.335 7.335
angles: 110.31 110.31 110.31
Element x y z (fractional)
Eu (0.200, 0.750, 0.300)
Eu (0.250, 0.700, 0.800)
Eu (0.300, 0.200, 0.750)
Eu (0.700, 0.800, 0.250)
Eu (0.750, 0.300, 0.200)
Eu (0.800, 0.250, 0.700)
B (0.129, 0.250, 0.371)
B (0.250, 0.371, 0.129)
B (0.371, 0.129, 0.250)
B (0.629, 0.871, 0.750)
B (0.750, 0.629, 0.871)
B (0.871, 0.750, 0.629)
N (0.007, 0.250, 0.493)
N (0.127, 0.373, 0.250)
N (0.250, 0.127, 0.373)
N (0.250, 0.493, 0.007)
N (0.373, 0.250, 0.127)
N (0.493, 0.007, 0.250)
N (0.507, 0.993, 0.750)
N (0.627, 0.750, 0.873)
N (0.750, 0.507, 0.993)
N (0.750, 0.873, 0.627)
N (0.873, 0.627, 0.750)
N (0.993, 0.750, 0.507)

Peak list (12 most intense, 5° ≤ 2θ ≤ 70°, by angle)
two_theta, d_spacing, intensity
14.71, 6.020, 68
25.92, 3.437, 37
29.68, 3.010, 43
30.69, 2.913, 100
33.51, 2.674, 92
40.40, 2.233, 22
41.38, 2.182, 23
50.43, 1.810, 39
55.18, 1.664, 24
56.38, 1.632, 28
60.79, 1.524, 22
63.89, 1.457, 25